BaAs2Pd2O8: calculated powder XRD pattern (Cu Kα (weighted mean of Kα1 and Kα2)), based on a PBE-relaxed structure.
Peak positions follow from Bragg's law for the DFT cell and can differ from measured ones.

Cell and atoms:
Cell: 8.249 8.249 8.249 Å, 36.34 36.34 36.34°
Fractional positions:
Ba: 0.000 0.000 0.000
As: 0.418 0.418 0.418
As: 0.582 0.582 0.582
Pd: 0.170 0.170 0.170
Pd: 0.830 0.830 0.830
O: 0.127 0.425 0.773
O: 0.227 0.873 0.575
O: 0.345 0.345 0.345
O: 0.425 0.773 0.127
O: 0.575 0.227 0.873
O: 0.655 0.655 0.655
O: 0.773 0.127 0.425
O: 0.873 0.575 0.227

Top 12 peaks for 2θ from 15° to 90°, in order of rising 2θ:
| 2θ (°) | d [Å] | I_rel |
| --- | --- | --- |
| 27.83 | 3.206 | 100 |
| 33.81 | 2.651 | 42 |
| 34.88 | 2.572 | 89 |
| 42.26 | 2.138 | 28 |
| 45.19 | 2.006 | 28 |
| 47.24 | 1.924 | 12 |
| 49.37 | 1.846 | 13 |
| 58.32 | 1.582 | 25 |
| 60.05 | 1.541 | 43 |
| 61.86 | 1.500 | 14 |
| 62.54 | 1.485 | 25 |
| 81.95 | 1.176 | 15 |